The following is a calculated powder XRD pattern of K2Nb3Se6. It was derived from a GGA-PBE-relaxed structure, using λ = 1.5418 Å (Cu Kα).

Top 6 peaks for 2θ = 15–90°, sorted by position:
2θ = 28.93°, intensity 36.0
2θ = 30.89°, intensity 26.5
2θ = 36.21°, intensity 100.0
2θ = 43.84°, intensity 48.2
2θ = 51.27°, intensity 33.9
2θ = 64.38°, intensity 17.8

```
data_K2Nb3Se6
_symmetry_space_group_name_H-M 'A m m 2'
_symmetry_Int_Tables_number 38
_symmetry_space_group_name_Hall 'A 2 -2'
_cell_length_a 16.674
_cell_length_b 10.692
_cell_length_c 6.173
_cell_angle_alpha 90.00
_cell_angle_beta 90.00
_cell_angle_gamma 90.00
loop_
_atom_site_label
_atom_site_type_symbol
_atom_site_fract_x
_atom_site_fract_y
_atom_site_fract_z
K1 K 0.000 0.166 0.000
K2 K 0.500 0.167 0.334
Nb1 Nb 0.249 0.000 0.835
Nb2 Nb 0.250 0.167 0.333
Se1 Se 0.151 0.000 0.170
Se2 Se 0.151 0.166 0.665
Se3 Se 0.348 0.000 0.165
Se4 Se 0.348 0.165 0.668
```